Computed powder X-ray diffraction pattern
Compound: Tm2RuAu
Radiation: Cu Kα (weighted mean of Kα1 and Kα2)
Structure: DFT lattice parameters and positions (GGA-PBE)
No peak broadening, texture or thermal motion is included.

Structural model:
```
data_Tm2RuAu
_chemical_formula_sum 'Tm8 Ru4 Au4'
_symmetry_space_group_name_H-M 'F m -3 m'
_symmetry_Int_Tables_number 225
_symmetry_space_group_name_Hall '-F 4 2 3'
_cell_length_a 6.908
_cell_length_b 6.908
_cell_length_c 6.908
_cell_angle_alpha 90.00
_cell_angle_beta 90.00
_cell_angle_gamma 90.00
loop_
_atom_site_label
_atom_site_type_symbol
_atom_site_fract_x
_atom_site_fract_y
_atom_site_fract_z
Tm1 Tm 0.250 0.250 0.250
Ru1 Ru 0.000 0.000 0.000
Au1 Au 0.000 0.000 0.500
```

Main lines, most intense first (10° ≤ 2θ ≤ 90°):
Position (°2θ)	Rel. int.
36.80	1000
66.28	361
53.02	176
89.78	169
78.29	113
22.29	49
43.44	29
58.21	13
82.63	10
70.88	10

Computed powder X-ray diffraction pattern
Compound: U3NF13
Radiation: Cu Kα (weighted mean of Kα1 and Kα2)
Structure: DFT lattice parameters and positions (GGA-PBE)
No peak broadening, texture or thermal motion is included.

Structural model:
```
data_U3NF13
_chemical_formula_sum 'U6 N2 F26'
_symmetry_space_group_name_H-M 'P m c 21'
_symmetry_Int_Tables_number 26
_cell_length_a 7.996
_cell_length_b 7.315
_cell_length_c 8.437
_cell_angle_alpha 90.00
_cell_angle_beta 90.00
_cell_angle_gamma 90.00
loop_
_symmetry_equiv_pos_as_xyz
'x,y,z'
'-x,-y,z+1/2'
'-x,y,z'
'x,-y,z+1/2'
loop_
_atom_site_label
_atom_site_type_symbol
_atom_site_fract_x
_atom_site_fract_y
_atom_site_fract_z
U1 U 0.000 0.114 0.000
U2 U 0.257 0.390 0.343
N1 N 0.500 0.106 0.706
F1 F 0.000 0.035 0.730
F2 F 0.000 0.369 0.177
F3 F 0.000 0.394 0.460
F4 F 0.167 0.314 0.864
F5 F 0.187 0.111 0.457
F6 F 0.252 0.187 0.145
F7 F 0.301 0.455 0.592
F8 F 0.500 0.229 0.364
F9 F 0.500 0.443 0.844
```

Main lines, most intense first (10° ≤ 2θ ≤ 90°):
Position (°2θ)	Rel. int.
26.56	1000
25.39	931
46.65	834
27.53	820
24.36	785
16.04	696
11.06	664
44.85	562
30.81	557
21.06	513

- What is the formula in the second record?
  U3NF13